For Rb4CO4, a DFT-relaxed cell (GGA-PBE, Alexandria) gives the simulated powder diffractogram in this record (Cu Ka).
Lines closer than 0.1° are merged.

Structural model:
Unit cell a=6.903 b=6.903 c=5.048 alpha=90.00 beta=90.00 gamma=90.00
Sites, in units of the cell vectors:
Rb 0.219 0.752 0.170
Rb 0.248 0.219 0.830
Rb 0.752 0.781 0.830
Rb 0.781 0.248 0.170
C 0.000 0.000 0.500
O 0.114 0.873 0.664
O 0.127 0.114 0.336
O 0.873 0.886 0.336
O 0.886 0.127 0.664

The 6 most intense peaks (10° ≤ 2θ ≤ 80°), by angle:
2θ/deg	I/Imax
12.82	35
25.38	100
25.81	66
36.83	28
40.22	39
45.26	51

For Rb3CO3, a DFT-relaxed cell (GGA-PBE, Alexandria) gives the simulated powder diffractogram in this record (Cu Ka).
Lines closer than 0.1° are merged.

Structural model:
Unit cell a=5.671 b=5.671 c=5.671 alpha=87.41 beta=87.41 gamma=87.41
Sites, in units of the cell vectors:
Rb 0.169 0.169 0.663
Rb 0.169 0.663 0.169
Rb 0.663 0.169 0.169
C 0.562 0.562 0.562
O 0.366 0.656 0.656
O 0.656 0.366 0.656
O 0.656 0.656 0.366

The 6 most intense peaks (10° ≤ 2θ ≤ 80°), by angle:
2θ/deg	I/Imax
26.06	34
27.69	100
31.61	86
44.27	25
46.34	24
53.94	31

For Rb3CO4, a DFT-relaxed cell (GGA-PBE, Alexandria) gives the simulated powder diffractogram in this record (Cu Ka).
Lines closer than 0.1° are merged.

Structural model:
Unit cell a=7.888 b=9.666 c=7.656 alpha=90.00 beta=90.00 gamma=90.00
Sites, in units of the cell vectors:
Rb 0.020 0.045 0.229
Rb 0.020 0.455 0.229
Rb 0.202 0.750 0.406
Rb 0.298 0.250 0.906
Rb 0.480 0.545 0.729
Rb 0.480 0.955 0.729
Rb 0.520 0.045 0.271
Rb 0.520 0.455 0.271
Rb 0.702 0.750 0.094
Rb 0.798 0.250 0.594
Rb 0.980 0.545 0.771
Rb 0.980 0.955 0.771
C 0.229 0.750 0.991
C 0.271 0.250 0.491
C 0.729 0.750 0.509
C 0.771 0.250 0.009
O 0.060 0.750 0.047
O 0.188 0.132 0.557
O 0.188 0.368 0.557
O 0.234 0.750 0.807
O 0.266 0.250 0.307
O 0.312 0.632 0.057
O 0.312 0.868 0.057
O 0.440 0.250 0.547
O 0.560 0.750 0.453
O 0.688 0.132 0.943
O 0.688 0.368 0.943
O 0.734 0.750 0.693
O 0.766 0.250 0.193
O 0.812 0.632 0.443
O 0.812 0.868 0.443
O 0.940 0.250 0.953

The 6 most intense peaks (10° ≤ 2θ ≤ 80°), by angle:
2θ/deg	I/Imax
29.23	100
29.77	64
30.09	43
32.60	53
36.41	30
37.67	27